Structure and simulated X-ray diffraction stick pattern of Zn2AgP3O19 (a DFT-relaxed cell (PBE, the Materials Project); Cu Kα).
Lines closer than 0.1° are merged.

Principal peaks in the range 5° ≤ 2θ ≤ 70°, by angle:
two_theta  I (rel.)  (hkl)
8.63  100  0 0 1
10.80  30  0 1 -1
11.99  20  1 0 0
17.62  21  1 -2 0
18.32  27  0 2 0
19.69  25  1 1 -2

Atomic structure:
abc: 8.3092 10.6166 11.0324
angles: 98.68 105.70 109.03
Fractional positions:
1 Zn 0.0000 0.0000 0.0000
2 Zn 0.2325 0.5037 0.9524
3 Zn 0.5000 0.5000 0.5000
4 Zn 0.7675 0.4963 0.0476
5 Ag 0.4175 0.0001 0.1450
6 Ag 0.5825 0.9999 0.8550
7 P 0.0427 0.7155 0.9432
8 P 0.2943 0.2768 0.2267
9 P 0.4735 0.4555 0.7830
10 P 0.5265 0.5445 0.2170
11 P 0.7057 0.7232 0.7733
12 P 0.9573 0.2845 0.0568
13 O 0.0046 0.6399 0.4247
14 O 0.0389 0.3407 0.9599
15 O 0.1180 0.3138 0.1949
16 O 0.1336 0.8778 0.9899
17 O 0.1603 0.6328 0.4473
18 O 0.1670 0.5111 0.4415
19 O 0.1701 0.6578 0.9040
20 O 0.1710 0.8865 0.6924
21 O 0.2374 0.1271 0.1474
22 O 0.2661 0.0977 0.8375
23 O 0.2977 0.4258 0.8115
24 O 0.2985 0.8467 0.7159
25 O 0.3750 0.3039 0.3714
26 O 0.3954 0.5955 0.1327
27 O 0.4227 0.1237 0.9112
28 O 0.4231 0.8942 0.3463
29 O 0.4250 0.3707 0.1657
30 O 0.4305 0.1088 0.5916
31 O 0.4481 0.4140 0.6393
32 O 0.5519 0.5860 0.3607
33 O 0.5695 0.8912 0.4084
34 O 0.5750 0.6293 0.8343
35 O 0.5769 0.1058 0.6537
36 O 0.5773 0.8763 0.0888
37 O 0.6046 0.4045 0.8673
38 O 0.6250 0.6961 0.6286
39 O 0.7015 0.1533 0.2841
40 O 0.7023 0.5742 0.1885
41 O 0.7339 0.9023 0.1625
42 O 0.7626 0.8729 0.8526
43 O 0.8290 0.1135 0.3076
44 O 0.8299 0.3422 0.0960
45 O 0.8330 0.4889 0.5585
46 O 0.8397 0.3672 0.5527
47 O 0.8664 0.1222 0.0101
48 O 0.8820 0.6862 0.8051
49 O 0.9611 0.6593 0.0401
50 O 0.9954 0.3601 0.5753

Structure and simulated X-ray diffraction stick pattern of ZnAg2P2O7 (a DFT-relaxed cell (PBE, the Materials Project); Cu Kα).
Lines closer than 0.1° are merged.

Principal peaks in the range 5° ≤ 2θ ≤ 70°, by angle:
two_theta  I (rel.)  (hkl)
23.11  24  1 1 2
28.16  48  2 0 2
30.39  100  2 1 2
35.93  24  3 1 0
42.61  23  2 1 4
50.15  22  3 1 4

Atomic structure:
abc: 7.9036 7.9036 10.6122
angles: 90.00 90.00 90.00
Fractional positions:
1 Zn 0.0000 0.5000 0.2500
2 Zn 0.0000 0.5000 0.7500
3 Zn 0.5000 0.0000 0.2500
4 Zn 0.5000 0.0000 0.7500
5 Ag 0.1395 0.1395 0.0000
6 Ag 0.2008 0.2008 0.5000
7 Ag 0.2992 0.7008 0.0000
8 Ag 0.3605 0.6395 0.5000
9 Ag 0.6395 0.3605 0.5000
10 Ag 0.7008 0.2992 0.0000
11 Ag 0.7992 0.7992 0.5000
12 Ag 0.8605 0.8605 0.0000
13 P 0.1372 0.8628 0.2886
14 P 0.1372 0.8628 0.7114
15 P 0.3628 0.3628 0.2114
16 P 0.3628 0.3628 0.7886
17 P 0.6372 0.6372 0.2114
18 P 0.6372 0.6372 0.7886
19 P 0.8628 0.1372 0.2886
20 P 0.8628 0.1372 0.7114
21 O 0.0000 0.0000 0.3427
22 O 0.0000 0.0000 0.6573
23 O 0.0798 0.6950 0.3498
24 O 0.0798 0.6950 0.6502
25 O 0.1346 0.8654 0.1453
26 O 0.1346 0.8654 0.8547
27 O 0.1950 0.4202 0.1502
28 O 0.1950 0.4202 0.8498
29 O 0.3050 0.9202 0.3498
30 O 0.3050 0.9202 0.6502
31 O 0.3654 0.3654 0.3547
32 O 0.3654 0.3654 0.6453
33 O 0.4202 0.1950 0.1502
34 O 0.4202 0.1950 0.8498
35 O 0.5000 0.5000 0.1573
36 O 0.5000 0.5000 0.8427
37 O 0.5798 0.8050 0.1502
38 O 0.5798 0.8050 0.8498
39 O 0.6346 0.6346 0.3547
40 O 0.6346 0.6346 0.6453
41 O 0.6950 0.0798 0.3498
42 O 0.6950 0.0798 0.6502
43 O 0.8050 0.5798 0.1502
44 O 0.8050 0.5798 0.8498
45 O 0.8654 0.1346 0.1453
46 O 0.8654 0.1346 0.8547
47 O 0.9202 0.3050 0.3498
48 O 0.9202 0.3050 0.6502